Diffraction record for Er2Tm2C3. The X-ray diffraction stick pattern is calculated, not measured: it uses a GGA-PBE-relaxed structure and Cu Kα.
Peak positions follow from Bragg's law for the DFT cell and can differ from measured ones.

Peak list (8 most intense, 15° ≤ 2θ ≤ 90°, sorted by position)
hkl 4 0 -1, 3.029 Å, 29.49 deg, intensity 68
hkl 1 1 -1, 2.901 Å, 30.82 deg, intensity 56
hkl 1 1 1, 2.829 Å, 31.63 deg, intensity 100
hkl 4 0 1, 2.735 Å, 32.74 deg, intensity 51
hkl 0 0 2, 2.551 Å, 35.17 deg, intensity 58
hkl 5 1 0, 2.193 Å, 41.16 deg, intensity 51
hkl 8 0 0, 1.738 Å, 52.67 deg, intensity 31
hkl 4 0 -3, 1.597 Å, 57.72 deg, intensity 33

```
data_Er2Tm2C3
_chemical_formula_sum 'Er4 Tm4 C6'
_symmetry_space_group_name_H-M 'C 1 2/m 1'
_symmetry_Int_Tables_number 12
_cell_length_a 13.972
_cell_length_b 3.573
_cell_length_c 5.135
_cell_angle_alpha 90.00
_cell_angle_beta 96.27
_cell_angle_gamma 90.00
loop_
_symmetry_equiv_pos_as_xyz
'x,y,z'
'-x,-y,-z'
'-x,y,-z'
'x,-y,z'
'x+1/2,y+1/2,z'
'-x+1/2,-y+1/2,-z'
'-x+1/2,y+1/2,-z'
'x+1/2,-y+1/2,z'
loop_
_atom_site_label
_atom_site_type_symbol
_atom_site_fract_x
_atom_site_fract_y
_atom_site_fract_z
_atom_site_occupancy
Er1 Er 0.078 0.000 0.270 1
Tm1 Tm 0.189 0.500 0.745 1
C1 C 0.000 0.500 0.500 1
C2 C 0.199 0.500 0.236 1
```